1.
This entry pairs a crystal structure of DyTlCdTe3 with its computed X-ray powder pattern. Radiation: Cu Kα X-rays. Structure: DFT lattice parameters and positions (PBE).
Intensities are scaled so that the largest is 100.

```
data_DyTlCdTe3
_chemical_formula_sum 'Dy2 Tl2 Cd2 Te6'
_cell_length_a 8.069
_cell_length_b 8.069
_cell_length_c 11.704
_cell_angle_alpha 90.00
_cell_angle_beta 90.00
_cell_angle_gamma 147.93
_symmetry_space_group_name_H-M 'P 1'
_symmetry_Int_Tables_number 1
loop_
_symmetry_equiv_pos_as_xyz
'x,y,z'
loop_
_atom_site_label
_atom_site_fract_x
_atom_site_fract_y
_atom_site_fract_z
Dy1 0.000 0.000 0.000
Dy2 0.000 0.000 0.500
Tl1 0.241 0.759 0.750
Tl2 0.759 0.241 0.250
Cd1 0.462 0.538 0.250
Cd2 0.538 0.462 0.750
Te1 0.080 0.920 0.250
Te2 0.364 0.636 0.048
Te3 0.364 0.636 0.452
Te4 0.636 0.364 0.548
Te5 0.636 0.364 0.952
Te6 0.920 0.080 0.750
```

The 10 most intense peaks (2θ from 10° to 90°), low angle first:
two_theta  d/Å  I_rel
27.51  3.242  91
30.57  2.925  100
31.00  2.884  21
35.17  2.552  22
38.06  2.364  26
38.56  2.335  26
40.48  2.229  27
47.26  1.923  28
51.54  1.773  20
56.76  1.622  16

2.
This entry pairs a crystal structure of ErCd7 with its computed X-ray powder pattern. Radiation: Cu Kα X-rays. Structure: DFT lattice parameters and positions (PBE).
Intensities are scaled so that the largest is 100.

```
data_ErCd7
_chemical_formula_sum 'Er2 Cd14'
_cell_length_a 6.273
_cell_length_b 6.273
_cell_length_c 9.428
_cell_angle_alpha 90.00
_cell_angle_beta 90.00
_cell_angle_gamma 108.01
_symmetry_space_group_name_H-M 'P 1'
_symmetry_Int_Tables_number 1
loop_
_symmetry_equiv_pos_as_xyz
'x,y,z'
loop_
_atom_site_label
_atom_site_fract_x
_atom_site_fract_y
_atom_site_fract_z
Er1 0.023 0.977 0.750
Er2 0.977 0.023 0.250
Cd1 0.100 0.498 0.750
Cd2 0.214 0.786 0.019
Cd3 0.214 0.786 0.481
Cd4 0.292 0.292 0.000
Cd5 0.292 0.292 0.500
Cd6 0.415 0.585 0.250
Cd7 0.498 0.100 0.250
Cd8 0.502 0.900 0.750
Cd9 0.585 0.415 0.750
Cd10 0.708 0.708 0.000
Cd11 0.708 0.708 0.500
Cd12 0.786 0.214 0.519
Cd13 0.786 0.214 0.981
Cd14 0.900 0.502 0.250
```

The 10 most intense peaks (2θ from 10° to 90°), low angle first:
two_theta  d/Å  I_rel
31.46  2.844  15
34.83  2.575  31
35.37  2.537  11
35.62  2.520  100
36.68  2.450  15
38.18  2.357  31
59.02  1.565  12
67.36  1.390  13
72.49  1.304  12
72.78  1.299  10